[1]
For Na3Cr3PO8, a DFT-relaxed cell (GGA+U, Alexandria) gives the theoretical powder XRD pattern in this record (Cu Kα X-rays).
Peak positions follow from Bragg's law for the DFT cell and can differ from measured ones.

Structure:
a = 5.9202 Å, b = 6.0340 Å, c = 6.4483 Å
α = 62.29°, β = 62.76°, γ = 60.99°
Positions (direct):
Na: 0.0000 0.0000 0.0000
Na: 0.0000 0.5000 0.0000
Na: 0.5000 0.0000 0.0000
Cr: 0.0000 0.5000 0.5000
Cr: 0.5000 0.0000 0.5000
Cr: 0.5000 0.5000 0.5000
P: 0.0000 0.0000 0.5000
O: 0.1943 0.7859 0.3233
O: 0.2094 0.1984 0.3176
O: 0.2217 0.8053 0.6820
O: 0.2710 0.2642 0.6918
O: 0.7290 0.7358 0.3082
O: 0.7783 0.1947 0.3180
O: 0.7906 0.8016 0.6824
O: 0.8057 0.2141 0.6767

Largest 6 diffraction maxima, by angle, 10° ≤ 2θ ≤ 90°:
Position (°2θ)  I_rel
16.28  100
32.89  16
35.83  9
40.59  36
41.34  35
41.53  35

[2]
For Na2TiCrP3O12, a DFT-relaxed cell (GGA+U, Alexandria) gives the theoretical powder XRD pattern in this record (Cu Kα X-rays).
Peak positions follow from Bragg's law for the DFT cell and can differ from measured ones.

Structure:
a = 8.7097 Å, b = 8.7097 Å, c = 8.8782 Å
α = 119.52°, β = 119.52°, γ = 60.15°
Positions (direct):
Na: 0.1830 0.1830 0.4934
Na: 0.4396 0.0907 0.2479
Na: 0.8170 0.8170 0.5066
Na: 0.9093 0.5604 0.7521
Ti: 0.0758 0.7084 0.1784
Ti: 0.2916 0.9242 0.8216
Cr: 0.5779 0.2168 0.6907
Cr: 0.7832 0.4221 0.3093
P: 0.1867 0.5268 0.4978
P: 0.3894 0.3188 0.9923
P: 0.4732 0.8133 0.5022
P: 0.6812 0.6106 0.0077
P: 0.8937 0.1063 0.5000
P: 0.9710 0.0290 0.0000
O: 0.0009 0.8473 0.0202
O: 0.0159 0.5074 0.4946
O: 0.0663 0.0715 0.6704
O: 0.1408 0.5608 0.3232
O: 0.1527 0.9991 0.9798
O: 0.2072 0.4898 0.0132
O: 0.2213 0.6998 0.6663
O: 0.3002 0.7787 0.3337
O: 0.3536 0.3430 0.5063
O: 0.3621 0.1495 0.9822
O: 0.4011 0.2830 0.8096
O: 0.4392 0.8592 0.6768
O: 0.4926 0.9841 0.5054
O: 0.5102 0.7928 0.9868
O: 0.5605 0.3487 0.1594
O: 0.6513 0.4395 0.8406
O: 0.6570 0.6464 0.4937
O: 0.7149 0.1234 0.5124
O: 0.7170 0.5989 0.1904
O: 0.8028 0.0487 0.8244
O: 0.8505 0.6379 0.0178
O: 0.8766 0.2851 0.4876
O: 0.9285 0.9337 0.3296
O: 0.9513 0.1972 0.1756

Largest 6 diffraction maxima, by angle, 10° ≤ 2θ ≤ 90°:
Position (°2θ)  I_rel
20.03  38
20.38  40
23.78  100
31.63  26
31.95  51
35.68  33

[3]
For Na3CrPd3O8, a DFT-relaxed cell (GGA+U, Alexandria) gives the theoretical powder XRD pattern in this record (Cu Kα X-rays).
Peak positions follow from Bragg's law for the DFT cell and can differ from measured ones.

Structure:
a = 6.6602 Å, b = 6.6602 Å, c = 6.3238 Å
α = 117.09°, β = 117.09°, γ = 53.34°
Positions (direct):
Na: 0.0000 0.0000 0.0000
Na: 0.0000 0.5000 0.5000
Na: 0.5000 0.0000 0.5000
Cr: 0.0000 0.0000 0.5000
Pd: 0.0000 0.5000 0.0000
Pd: 0.5000 0.0000 0.0000
Pd: 0.5000 0.5000 0.5000
O: 0.1941 0.1941 0.7449
O: 0.2113 0.7390 0.6781
O: 0.2610 0.7887 0.3219
O: 0.2996 0.2996 0.2534
O: 0.7004 0.7004 0.7466
O: 0.7390 0.2113 0.6781
O: 0.7887 0.2610 0.3219
O: 0.8059 0.8059 0.2551

Largest 6 diffraction maxima, by angle, 10° ≤ 2θ ≤ 90°:
Position (°2θ)  I_rel
16.66  100
34.23  20
34.75  28
35.04  33
41.58  45
56.01  20

[4]
For NaCr2ReO8, a DFT-relaxed cell (GGA+U, Alexandria) gives the theoretical powder XRD pattern in this record (Cu Kα X-rays).
Peak positions follow from Bragg's law for the DFT cell and can differ from measured ones.

Structure:
a = 4.6554 Å, b = 4.6626 Å, c = 6.1372 Å
α = 89.78°, β = 89.78°, γ = 88.52°
Positions (direct):
Na: 0.0000 0.0000 0.0000
Cr: 0.4932 0.4932 0.7591
Cr: 0.5068 0.5068 0.2409
Re: 0.0000 0.0000 0.5000
O: 0.2031 0.7927 0.2874
O: 0.2087 0.7983 0.7126
O: 0.2953 0.2966 0.4967
O: 0.3250 0.3269 0.9894
O: 0.6750 0.6731 0.0106
O: 0.7047 0.7034 0.5033
O: 0.7913 0.2017 0.2874
O: 0.7969 0.2073 0.7126

Largest 6 diffraction maxima, by angle, 10° ≤ 2θ ≤ 90°:
Position (°2θ)  I_rel
14.43  100
23.97  99
26.72  96
27.43  85
34.96  65
35.08  59